Entry 1:
Diffraction record for LiMn3B3O9. The powder XRD pattern is simulated, not measured: it uses a structure optimized by DFT (GGA+U) and Cu Kα (λ = 1.5418 Å).

Structural model:
Unit cell a=5.330 b=5.908 c=12.059 alpha=83.26 beta=80.15 gamma=88.21
Positions (direct):
Li (0.204, 0.072, 0.267)
Li (0.796, 0.928, 0.733)
Mn (0.124, 0.256, 0.495)
Mn (0.208, 0.099, 0.853)
Mn (0.432, 0.588, 0.831)
Mn (0.568, 0.412, 0.169)
Mn (0.792, 0.901, 0.147)
Mn (0.876, 0.744, 0.505)
B (0.023, 0.520, 0.279)
B (0.316, 0.821, 0.057)
B (0.347, 0.874, 0.620)
B (0.653, 0.126, 0.380)
B (0.684, 0.179, 0.943)
B (0.977, 0.480, 0.721)
O (0.058, 0.538, 0.390)
O (0.102, 0.953, 0.597)
O (0.158, 0.920, 0.140)
O (0.185, 0.396, 0.211)
O (0.201, 0.385, 0.754)
O (0.257, 0.813, 0.950)
O (0.404, 0.899, 0.727)
O (0.450, 0.270, 0.922)
O (0.493, 0.234, 0.457)
O (0.507, 0.766, 0.543)
O (0.550, 0.730, 0.078)
O (0.596, 0.101, 0.273)
O (0.743, 0.187, 0.050)
O (0.799, 0.615, 0.246)
O (0.815, 0.604, 0.789)
O (0.842, 0.080, 0.860)
O (0.898, 0.047, 0.403)
O (0.942, 0.462, 0.610)

The 10 most intense peaks (10° ≤ 2θ ≤ 90°), sorted by position:
| 2theta | intensity | hkl |
| --- | --- | --- |
| 19.63 | 100 | 1 0 -1 |
| 20.09 | 32 | 0 1 2 |
| 20.66 | 31 | 1 0 2 |
| 22.32 | 83 | 1 1 1 |
| 22.60 | 91 | 0 0 3 |
| 33.17 | 47 | -1 1 3 |
| 34.08 | 29 | 1 1 4 |
| 35.70 | 76 | 0 2 -2 |
| 37.36 | 35 | 2 1 0 |
| 40.83 | 29 | 0 2 4 |

=====

Entry 2:
Diffraction record for MgTi4Co2O10. The powder XRD pattern is simulated, not measured: it uses a structure optimized by DFT (GGA+U) and Cu Kα (λ = 1.5418 Å).

Structural model:
Unit cell a=3.779 b=10.121 c=5.360 alpha=90.00 beta=110.64 gamma=90.00
Positions (direct):
Mg (0.000, 0.000, 0.000)
Ti (0.301, 0.190, 0.608)
Ti (0.301, 0.810, 0.608)
Ti (0.568, 0.318, 0.143)
Ti (0.568, 0.682, 0.143)
Co (0.244, 0.500, 0.495)
Co (0.737, 0.000, 0.480)
O (0.116, 0.307, 0.239)
O (0.116, 0.693, 0.239)
O (0.198, 0.000, 0.401)
O (0.389, 0.363, 0.785)
O (0.389, 0.637, 0.785)
O (0.477, 0.131, 0.961)
O (0.477, 0.869, 0.961)
O (0.648, 0.500, 0.302)
O (0.751, 0.202, 0.507)
O (0.751, 0.798, 0.507)

The 10 most intense peaks (10° ≤ 2θ ≤ 90°), sorted by position:
| 2theta | intensity | hkl |
| --- | --- | --- |
| 17.68 | 88 | 0 0 1 |
| 25.18 | 100 | 1 0 0 |
| 26.70 | 55 | 1 1 -1 |
| 31.97 | 94 | 0 3 1 |
| 36.82 | 75 | 1 3 -1 |
| 36.96 | 75 | 1 1 1 |
| 39.91 | 44 | 0 4 1 |
| 40.13 | 63 | 0 2 2 |
| 48.15 | 82 | 2 0 -1 |
| 58.86 | 51 | 1 3 -3 |